1.
This entry pairs a crystal structure of Ca6Ag5Ir with its computed PXRD pattern. Radiation: CuKα. Structure: a structure optimized by DFT (GGA-PBE).
Kinematic intensities with the Lorentz-polarization factor, no thermal factor.

Largest 10 diffraction maxima, low angle first, 10° ≤ 2θ ≤ 90°:
d [Å]  Position (°2θ)  I/Imax
3.711  23.98  15.8
3.635  24.49  29.6
2.597  34.54  100.0
2.570  34.91  48.4
2.113  42.79  14.0
1.855  49.10  9.8
1.818  50.19  16.1
1.505  61.65  16.7
1.490  62.31  16.7
1.488  62.41  15.2

```
12
Lattice="2.573 -7.703 0.000 2.573 7.703 0.000 0.000 0.000 7.423" Properties=species:S:1:pos:R:3 pbc="T T T"
Ca 0.000 0.000 1.713
Ca 0.000 0.000 5.710
Ca 2.573 2.427 1.785
Ca 2.573 2.427 5.638
Ca 2.573 -2.427 1.785
Ca 2.573 -2.427 5.638
Ag 2.573 5.076 3.711
Ag 2.573 5.015 0.000
Ag 2.573 0.000 3.711
Ag 2.573 -5.015 0.000
Ag 2.573 -5.076 3.711
Ir 2.573 0.000 0.000
```

=====

2.
This entry pairs a crystal structure of CrNi4Ir with its computed PXRD pattern. Radiation: CuKα. Structure: a structure optimized by DFT (GGA-PBE).
Kinematic intensities with the Lorentz-polarization factor, no thermal factor.

Largest 10 diffraction maxima, low angle first, 10° ≤ 2θ ≤ 90°:
d [Å]  Position (°2θ)  I/Imax
4.642  19.12  27.5
3.500  25.45  31.0
3.045  29.33  21.2
2.023  44.81  92.2
2.016  44.98  95.7
2.012  45.06  100.0
1.428  65.36  15.9
1.425  65.49  31.4
1.166  82.79  46.4
1.164  82.98  16.0

```
12
Lattice="2.460 -7.013 0.000 2.460 7.013 0.000 0.000 0.000 4.035" Properties=species:S:1:pos:R:3 pbc="T T T"
Cr 2.460 5.267 3.026
Cr 2.460 -5.267 1.009
Ni 1.228 2.920 3.026
Ni 1.218 0.584 3.026
Ni 1.218 -0.584 1.009
Ni 1.228 -2.920 1.009
Ni 3.692 2.920 3.026
Ni 3.702 0.584 3.026
Ni 3.702 -0.584 1.009
Ni 3.692 -2.920 1.009
Ir 2.460 1.750 1.009
Ir 2.460 -1.750 3.026
```

=====

3.
This entry pairs a crystal structure of Ca2Zn5Au5 with its computed PXRD pattern. Radiation: CuKα. Structure: a structure optimized by DFT (GGA-PBE).
Kinematic intensities with the Lorentz-polarization factor, no thermal factor.

Largest 10 diffraction maxima, low angle first, 10° ≤ 2θ ≤ 90°:
d [Å]  Position (°2θ)  I/Imax
4.826  18.38  17.8
4.702  18.87  65.9
2.762  32.42  20.9
2.692  33.28  21.0
2.350  38.31  100.0
2.306  39.05  29.4
2.235  40.35  34.5
2.081  43.49  47.1
1.479  62.82  23.2
1.175  82.02  16.1

```
12
Lattice="4.471 0.000 0.000 0.000 5.385 0.000 0.000 0.000 9.652" Properties=species:S:1:pos:R:3 pbc="T T T"
Ca 0.000 0.000 0.000
Ca 0.000 2.692 4.826
Zn 2.235 0.000 4.826
Zn 2.235 1.336 2.408
Zn 2.235 1.336 7.244
Zn 2.235 4.049 2.408
Zn 2.235 4.049 7.244
Au 0.000 0.000 3.237
Au 0.000 0.000 6.415
Au 0.000 2.692 1.773
Au 0.000 2.692 7.879
Au 2.235 2.692 0.000
```

=====

4.
This entry pairs a crystal structure of AcTlO3 with its computed PXRD pattern. Radiation: CuKα. Structure: a structure optimized by DFT (GGA-PBE).
Kinematic intensities with the Lorentz-polarization factor, no thermal factor.

Largest 10 diffraction maxima, low angle first, 10° ≤ 2θ ≤ 90°:
d [Å]  Position (°2θ)  I/Imax
3.732  23.85  33.9
3.379  26.37  100.0
3.273  27.25  40.3
3.005  29.73  42.9
2.978  30.01  39.9
2.881  31.04  64.3
2.675  33.50  28.8
2.182  41.38  35.3
1.975  45.96  35.3
1.804  50.60  37.7

```
10
Lattice="6.014 0.000 0.000 0.000 4.139 0.000 -1.885 0.000 8.025" Properties=species:S:1:pos:R:3 pbc="T T T"
Ac 0.592 1.035 3.026
Ac 3.537 3.104 4.999
Tl 0.771 1.035 6.718
Tl 3.358 3.104 1.307
O -0.881 1.035 5.265
O 2.279 1.035 0.845
O 2.004 3.104 3.037
O 2.125 1.035 4.989
O 1.850 3.104 7.180
O 5.010 3.104 2.760
```

=====

Please write out number 3 again, unchanged.
This entry pairs a crystal structure of Ca2Zn5Au5 with its computed PXRD pattern. Radiation: CuKα. Structure: a structure optimized by DFT (GGA-PBE).
Kinematic intensities with the Lorentz-polarization factor, no thermal factor.

Largest 10 diffraction maxima, low angle first, 10° ≤ 2θ ≤ 90°:
d [Å]  Position (°2θ)  I/Imax
4.826  18.38  17.8
4.702  18.87  65.9
2.762  32.42  20.9
2.692  33.28  21.0
2.350  38.31  100.0
2.306  39.05  29.4
2.235  40.35  34.5
2.081  43.49  47.1
1.479  62.82  23.2
1.175  82.02  16.1

```
12
Lattice="4.471 0.000 0.000 0.000 5.385 0.000 0.000 0.000 9.652" Properties=species:S:1:pos:R:3 pbc="T T T"
Ca 0.000 0.000 0.000
Ca 0.000 2.692 4.826
Zn 2.235 0.000 4.826
Zn 2.235 1.336 2.408
Zn 2.235 1.336 7.244
Zn 2.235 4.049 2.408
Zn 2.235 4.049 7.244
Au 0.000 0.000 3.237
Au 0.000 0.000 6.415
Au 0.000 2.692 1.773
Au 0.000 2.692 7.879
Au 2.235 2.692 0.000
```

=====

Copy entry 3 word for word.
This entry pairs a crystal structure of Ca2Zn5Au5 with its computed PXRD pattern. Radiation: CuKα. Structure: a structure optimized by DFT (GGA-PBE).
Kinematic intensities with the Lorentz-polarization factor, no thermal factor.

Largest 10 diffraction maxima, low angle first, 10° ≤ 2θ ≤ 90°:
d [Å]  Position (°2θ)  I/Imax
4.826  18.38  17.8
4.702  18.87  65.9
2.762  32.42  20.9
2.692  33.28  21.0
2.350  38.31  100.0
2.306  39.05  29.4
2.235  40.35  34.5
2.081  43.49  47.1
1.479  62.82  23.2
1.175  82.02  16.1

```
12
Lattice="4.471 0.000 0.000 0.000 5.385 0.000 0.000 0.000 9.652" Properties=species:S:1:pos:R:3 pbc="T T T"
Ca 0.000 0.000 0.000
Ca 0.000 2.692 4.826
Zn 2.235 0.000 4.826
Zn 2.235 1.336 2.408
Zn 2.235 1.336 7.244
Zn 2.235 4.049 2.408
Zn 2.235 4.049 7.244
Au 0.000 0.000 3.237
Au 0.000 0.000 6.415
Au 0.000 2.692 1.773
Au 0.000 2.692 7.879
Au 2.235 2.692 0.000
```